Entry 1:
This entry pairs a crystal structure of AcNdCCl with its simulated X-ray diffraction stick pattern. Radiation: Cu Ka. Structure: the GGA-PBE geometry in Alexandria.
Intensities are scaled so that the largest is 100.

Peak list (8 most intense, 2θ from 10° to 90°, sorted by position)
d = 7.553 Å, 2θ = 11.72°, intensity 34
d = 3.777 Å, 2θ = 23.56°, intensity 26
d = 3.305 Å, 2θ = 26.98°, intensity 80
d = 2.878 Å, 2θ = 31.08°, intensity 76
d = 2.689 Å, 2θ = 33.32°, intensity 100
d = 1.929 Å, 2θ = 47.11°, intensity 40
d = 1.875 Å, 2θ = 48.55°, intensity 30
d = 1.531 Å, 2θ = 60.46°, intensity 28

```
AcNdCCl
1.0
3.858 0.000 0.000
-1.929 3.341 0.000
0.000 0.000 22.659
Ac Nd C Cl
3 3 3 3
Direct
0.000 0.000 0.000
0.333 0.667 0.667
0.667 0.333 0.333
0.000 0.000 0.795
0.333 0.667 0.461
0.667 0.333 0.128
0.000 0.000 0.402
0.333 0.667 0.069
0.667 0.333 0.736
0.000 0.000 0.222
0.333 0.667 0.889
0.667 0.333 0.556
```

=====

Entry 2:
This entry pairs a crystal structure of Ac2C2ClO6 with its simulated X-ray diffraction stick pattern. Radiation: Cu Ka. Structure: the GGA-PBE geometry in Alexandria.
Intensities are scaled so that the largest is 100.

Peak list (8 most intense, 2θ from 10° to 90°, sorted by position)
d = 4.336 Å, 2θ = 20.48°, intensity 86
d = 4.246 Å, 2θ = 20.92°, intensity 87
d = 3.918 Å, 2θ = 22.70°, intensity 100
d = 3.853 Å, 2θ = 23.09°, intensity 79
d = 3.060 Å, 2θ = 29.18°, intensity 76
d = 3.008 Å, 2θ = 29.70°, intensity 72
d = 2.904 Å, 2θ = 30.79°, intensity 51
d = 2.859 Å, 2θ = 31.29°, intensity 91

```
Ac2C2ClO6
1.0
4.736 0.000 0.000
1.947 5.751 0.000
1.922 -0.602 5.911
Ac C Cl O
2 2 1 6
Direct
0.024 0.239 0.250
0.976 0.761 0.750
0.422 0.142 0.640
0.578 0.858 0.360
0.500 0.500 0.000
0.241 0.324 0.566
0.286 0.864 0.385
0.289 0.039 0.818
0.711 0.961 0.182
0.714 0.136 0.615
0.759 0.676 0.434
```

=====

Entry 3:
This entry pairs a crystal structure of Ac8Ru3CCl3 with its simulated X-ray diffraction stick pattern. Radiation: Cu Ka. Structure: the GGA-PBE geometry in Alexandria.
Intensities are scaled so that the largest is 100.

Peak list (8 most intense, 2θ from 10° to 90°, sorted by position)
d = 7.886 Å, 2θ = 11.22°, intensity 44
d = 3.523 Å, 2θ = 25.28°, intensity 53
d = 3.131 Å, 2θ = 28.51°, intensity 100
d = 2.492 Å, 2θ = 36.04°, intensity 28
d = 2.308 Å, 2θ = 39.03°, intensity 24
d = 2.131 Å, 2θ = 42.43°, intensity 40
d = 1.858 Å, 2θ = 49.03°, intensity 19
d = 1.761 Å, 2θ = 51.91°, intensity 19

```
Ac8Ru3CCl3
1.0
7.383 -4.259 0.000
7.383 4.259 0.000
-4.935 0.000 7.886
Ac Ru C Cl
8 3 1 3
Direct
0.225 0.225 0.691
0.225 0.742 0.691
0.258 0.775 0.309
0.262 0.262 0.286
0.738 0.738 0.714
0.742 0.225 0.691
0.775 0.258 0.309
0.775 0.775 0.309
0.000 0.500 0.500
0.500 0.000 0.500
0.500 0.500 0.500
0.000 0.000 0.500
0.000 0.000 0.000
0.000 0.500 0.000
0.500 0.000 0.000
```

=====

Entry 4:
This entry pairs a crystal structure of AcFeCoC2 with its simulated X-ray diffraction stick pattern. Radiation: Cu Ka. Structure: the GGA-PBE geometry in Alexandria.
Intensities are scaled so that the largest is 100.

Peak list (8 most intense, 2θ from 10° to 90°, sorted by position)
d = 3.297 Å, 2θ = 27.04°, intensity 100
d = 2.709 Å, 2θ = 33.07°, intensity 38
d = 2.499 Å, 2θ = 35.93°, intensity 65
d = 2.231 Å, 2θ = 40.44°, intensity 88
d = 1.731 Å, 2θ = 52.90°, intensity 23
d = 1.532 Å, 2θ = 60.41°, intensity 23
d = 1.458 Å, 2θ = 63.82°, intensity 23
d = 1.453 Å, 2θ = 64.08°, intensity 26

```
AcFeCoC2
1.0
3.461 0.000 0.000
0.000 3.461 0.000
0.000 0.000 10.836
Ac Fe Co C
2 2 2 4
Direct
0.000 0.000 0.000
0.500 0.500 0.500
0.000 0.500 0.250
0.500 0.000 0.750
0.000 0.500 0.750
0.500 0.000 0.250
0.000 0.000 0.334
0.000 0.000 0.666
0.500 0.500 0.166
0.500 0.500 0.834
```

=====

Entry 5:
This entry pairs a crystal structure of Ac3CoC2N6 with its simulated X-ray diffraction stick pattern. Radiation: Cu Ka. Structure: the GGA-PBE geometry in Alexandria.
Intensities are scaled so that the largest is 100.

Peak list (8 most intense, 2θ from 10° to 90°, sorted by position)
d = 3.884 Å, 2θ = 22.90°, intensity 67
d = 2.746 Å, 2θ = 32.60°, intensity 100
d = 2.244 Å, 2θ = 40.18°, intensity 24
d = 1.942 Å, 2θ = 46.78°, intensity 22
d = 1.739 Å, 2θ = 52.64°, intensity 17
d = 1.735 Å, 2θ = 52.76°, intensity 18
d = 1.587 Å, 2θ = 58.13°, intensity 28
d = 1.582 Å, 2θ = 58.32°, intensity 9

```
Ac3CoC2N6
1.0
5.500 0.000 0.000
-2.750 4.763 0.000
0.000 0.000 6.709
Ac Co C N
3 1 2 6
Direct
0.000 0.000 0.000
0.333 0.667 0.666
0.667 0.333 0.334
0.000 0.000 0.500
0.333 0.667 0.267
0.667 0.333 0.733
0.188 0.377 0.275
0.188 0.812 0.275
0.377 0.188 0.725
0.623 0.812 0.275
0.812 0.188 0.725
0.812 0.623 0.725
```

=====

Entry 6:
This entry pairs a crystal structure of AcCr2Si2C with its simulated X-ray diffraction stick pattern. Radiation: Cu Ka. Structure: the GGA-PBE geometry in Alexandria.
Intensities are scaled so that the largest is 100.

Peak list (8 most intense, 2θ from 10° to 90°, sorted by position)
d = 4.059 Å, 2θ = 21.90°, intensity 47
d = 3.295 Å, 2θ = 27.06°, intensity 85
d = 2.821 Å, 2θ = 31.72°, intensity 26
d = 2.558 Å, 2θ = 35.08°, intensity 100
d = 2.317 Å, 2θ = 38.87°, intensity 62
d = 2.030 Å, 2θ = 44.65°, intensity 39
d = 1.728 Å, 2θ = 52.99°, intensity 29
d = 1.527 Å, 2θ = 60.66°, intensity 34

```
AcCr2Si2C
1.0
4.059 0.000 0.000
0.000 4.059 0.000
0.000 0.000 5.643
Ac Cr Si C
1 2 2 1
Direct
0.000 0.000 0.000
0.000 0.500 0.500
0.500 0.000 0.500
0.500 0.500 0.253
0.500 0.500 0.747
0.000 0.000 0.500
```

=====

Entry 7:
This entry pairs a crystal structure of AcCu2C2O7 with its simulated X-ray diffraction stick pattern. Radiation: Cu Ka. Structure: the GGA-PBE geometry in Alexandria.
Intensities are scaled so that the largest is 100.

Peak list (8 most intense, 2θ from 10° to 90°, sorted by position)
d = 4.120 Å, 2θ = 21.57°, intensity 100
d = 3.666 Å, 2θ = 24.28°, intensity 68
d = 3.410 Å, 2θ = 26.13°, intensity 40
d = 2.924 Å, 2θ = 30.58°, intensity 83
d = 2.490 Å, 2θ = 36.07°, intensity 48
d = 2.183 Å, 2θ = 41.36°, intensity 22
d = 2.131 Å, 2θ = 42.42°, intensity 32
d = 1.940 Å, 2θ = 46.84°, intensity 41

```
AcCu2C2O7
1.0
2.490 1.438 9.280
-2.490 1.438 9.280
0.000 -2.875 9.280
Ac Cu C O
1 2 2 7
Direct
0.000 0.000 0.000
0.437 0.437 0.437
0.563 0.563 0.563
0.280 0.280 0.280
0.720 0.720 0.720
0.010 0.508 0.637
0.363 0.492 0.990
0.492 0.990 0.363
0.500 0.500 0.500
0.508 0.637 0.010
0.637 0.010 0.508
0.990 0.363 0.492
```

=====

Entry 8:
This entry pairs a crystal structure of Ac4GeC with its simulated X-ray diffraction stick pattern. Radiation: Cu Ka. Structure: the GGA-PBE geometry in Alexandria.
Intensities are scaled so that the largest is 100.

Peak list (8 most intense, 2θ from 10° to 90°, sorted by position)
d = 3.650 Å, 2θ = 24.38°, intensity 100
d = 3.183 Å, 2θ = 28.03°, intensity 72
d = 3.154 Å, 2θ = 28.30°, intensity 59
d = 3.050 Å, 2θ = 29.28°, intensity 52
d = 3.020 Å, 2θ = 29.58°, intensity 37
d = 2.613 Å, 2θ = 34.32°, intensity 25
d = 2.338 Å, 2θ = 38.50°, intensity 29
d = 1.739 Å, 2θ = 52.64°, intensity 25

```
Ac4GeC
1.0
6.490 0.000 0.000
0.000 10.453 0.000
-1.526 0.000 6.308
Ac Ge C
8 2 2
Direct
0.128 0.250 0.219
0.266 0.045 0.766
0.266 0.455 0.766
0.281 0.750 0.372
0.719 0.250 0.628
0.734 0.545 0.234
0.734 0.955 0.234
0.872 0.750 0.781
0.415 0.750 0.914
0.585 0.250 0.086
0.096 0.250 0.597
0.904 0.750 0.403
```

=====

Entry 9:
This entry pairs a crystal structure of Ac2HgC2 with its simulated X-ray diffraction stick pattern. Radiation: Cu Ka. Structure: the GGA-PBE geometry in Alexandria.
Intensities are scaled so that the largest is 100.

Peak list (8 most intense, 2θ from 10° to 90°, sorted by position)
d = 3.342 Å, 2θ = 26.67°, intensity 53
d = 3.239 Å, 2θ = 27.53°, intensity 100
d = 3.071 Å, 2θ = 29.07°, intensity 30
d = 3.026 Å, 2θ = 29.52°, intensity 70
d = 2.846 Å, 2θ = 31.43°, intensity 28
d = 2.604 Å, 2θ = 34.44°, intensity 31
d = 2.260 Å, 2θ = 39.88°, intensity 28
d = 2.165 Å, 2θ = 41.72°, intensity 38

```
Ac2HgC2
1.0
8.065 -2.179 0.000
8.065 2.179 0.000
-1.868 0.000 7.284
Ac Hg C
4 2 4
Direct
0.020 0.684 0.873
0.316 0.980 0.627
0.684 0.020 0.373
0.980 0.316 0.127
0.385 0.615 0.250
0.615 0.385 0.750
0.136 0.403 0.471
0.403 0.136 0.971
0.597 0.864 0.029
0.864 0.597 0.529
```

=====

Entry 10:
This entry pairs a crystal structure of Ac3CI3 with its simulated X-ray diffraction stick pattern. Radiation: Cu Ka. Structure: the GGA-PBE geometry in Alexandria.
Intensities are scaled so that the largest is 100.

Peak list (8 most intense, 2θ from 10° to 90°, sorted by position)
d = 3.271 Å, 2θ = 27.26°, intensity 20
d = 3.181 Å, 2θ = 28.05°, intensity 45
d = 3.164 Å, 2θ = 28.21°, intensity 100
d = 2.994 Å, 2θ = 29.84°, intensity 26
d = 2.784 Å, 2θ = 32.15°, intensity 20
d = 2.285 Å, 2θ = 39.44°, intensity 28
d = 2.204 Å, 2θ = 40.96°, intensity 25
d = 2.113 Å, 2θ = 42.79°, intensity 21

```
Ac3CI3
1.0
9.554 0.000 0.000
0.000 4.227 0.000
-0.696 0.000 12.724
Ac C I
6 2 6
Direct
0.085 0.250 0.395
0.114 0.250 0.829
0.305 0.750 0.618
0.695 0.250 0.382
0.886 0.750 0.171
0.915 0.750 0.605
0.123 0.250 0.620
0.877 0.750 0.380
0.150 0.250 0.120
0.383 0.750 0.362
0.384 0.750 0.877
0.616 0.250 0.123
0.617 0.250 0.638
0.850 0.750 0.880
```

=====

Entry 11:
This entry pairs a crystal structure of Ac8Ru3CI3 with its simulated X-ray diffraction stick pattern. Radiation: Cu Ka. Structure: the GGA-PBE geometry in Alexandria.
Intensities are scaled so that the largest is 100.

Peak list (8 most intense, 2θ from 10° to 90°, sorted by position)
d = 8.750 Å, 2θ = 10.11°, intensity 39
d = 3.572 Å, 2θ = 24.92°, intensity 26
d = 3.231 Å, 2θ = 27.60°, intensity 100
d = 3.031 Å, 2θ = 29.47°, intensity 31
d = 2.638 Å, 2θ = 33.98°, intensity 29
d = 2.144 Å, 2θ = 42.16°, intensity 46
d = 1.786 Å, 2θ = 51.14°, intensity 18
d = 1.727 Å, 2θ = 53.02°, intensity 23

```
Ac8Ru3CI3
1.0
7.429 -4.285 0.000
7.429 4.285 0.000
-4.968 0.000 8.750
Ac Ru C I
8 3 1 3
Direct
0.217 0.217 0.670
0.217 0.737 0.670
0.263 0.783 0.330
0.269 0.269 0.309
0.731 0.731 0.691
0.737 0.217 0.670
0.783 0.263 0.330
0.783 0.783 0.330
0.000 0.500 0.500
0.500 0.000 0.500
0.500 0.500 0.500
0.000 0.000 0.500
0.000 0.000 0.000
0.000 0.500 0.000
0.500 0.000 0.000
```

=====

Entry 12:
This entry pairs a crystal structure of Ac8Si3CI3 with its simulated X-ray diffraction stick pattern. Radiation: Cu Ka. Structure: the GGA-PBE geometry in Alexandria.
Intensities are scaled so that the largest is 100.

Peak list (8 most intense, 2θ from 10° to 90°, sorted by position)
d = 3.696 Å, 2θ = 24.08°, intensity 47
d = 3.284 Å, 2θ = 27.15°, intensity 100
d = 3.052 Å, 2θ = 29.26°, intensity 34
d = 2.755 Å, 2θ = 32.50°, intensity 18
d = 2.419 Å, 2θ = 37.16°, intensity 22
d = 2.236 Å, 2θ = 40.34°, intensity 40
d = 1.848 Å, 2θ = 49.31°, intensity 18
d = 1.736 Å, 2θ = 52.73°, intensity 26

```
Ac8Si3CI3
1.0
4.471 2.581 8.264
-4.471 2.581 8.264
0.000 -5.163 8.264
Ac Si C I
8 3 1 3
Direct
0.234 0.234 0.234
0.256 0.716 0.716
0.284 0.284 0.744
0.284 0.744 0.284
0.716 0.256 0.716
0.716 0.716 0.256
0.744 0.284 0.284
0.766 0.766 0.766
0.000 0.000 0.500
0.000 0.500 0.000
0.500 0.000 0.000
0.500 0.500 0.500
0.000 0.500 0.500
0.500 0.000 0.500
0.500 0.500 0.000
```